# YP3Ru4
Theoretical powder XRD pattern, Cu Kα. Input: a structure optimized by DFT (GGA-PBE).
Lines closer than 0.1° are merged.

Largest 10 diffraction maxima, in order of falling intensity, 15 to 90 degrees two-theta:
index, Position (°2θ), I/Imax
1 1 2, 39.68, 100.0
2 0 0, 45.06, 84.3
1 1 1, 33.67, 70.5
1 1 3, 48.30, 58.1
1 1 0, 31.44, 34.8
0 0 3, 35.71, 34.6
2 0 3, 58.77, 34.4
1 0 2, 32.54, 27.4
2 2 0, 65.63, 26.6
0 0 2, 23.59, 26.2

Structural model:
```
data_YP3Ru4
_chemical_formula_sum 'Y1 P3 Ru4'
_cell_length_a 4.0238
_cell_length_b 4.0238
_cell_length_c 7.5439
_cell_angle_alpha 90.00
_cell_angle_beta 90.00
_cell_angle_gamma 90.00
_space_group_name_H-M_alt 'P 4/m m m'
_space_group_IT_number 123
_space_group_name_Hall '-P 4 2'
loop_
_atom_site_label
_atom_site_type_symbol
_atom_site_fract_x
_atom_site_fract_y
_atom_site_fract_z
Y1 Y 0.0000 0.0000 0.0000
P1 P 0.0000 0.0000 0.5000
P2 P 0.5000 0.5000 0.1636
Ru1 Ru 0.0000 0.5000 0.3139
```